Diffraction record for UCu2PdS4. The PXRD pattern is theoretical, not measured: it uses a DFT-relaxed cell (PBE, Alexandria) and Cu Ka.

```
data_UCu2PdS4
_chemical_formula_sum 'U4 Cu8 Pd4 S16'
_cell_length_a 7.028
_cell_length_b 7.516
_cell_length_c 12.338
_cell_angle_alpha 90.00
_cell_angle_beta 90.00
_cell_angle_gamma 90.00
_symmetry_space_group_name_H-M 'F m m 2'
_symmetry_Int_Tables_number 42
_symmetry_space_group_name_Hall 'F 2 -2'
loop_
_atom_site_label
_atom_site_type_symbol
_atom_site_fract_x
_atom_site_fract_y
_atom_site_fract_z
U1 U 0.000 0.000 0.000
Cu1 Cu 0.250 0.250 0.242
Pd1 Pd 0.000 0.000 0.485
S1 S 0.000 0.228 0.624
S2 S 0.249 0.000 0.848
```

Main lines, in order of falling intensity (5° ≤ 2θ ≤ 70°):
| 2theta | I/Imax |
| --- | --- |
| 27.80 | 100 |
| 29.25 | 85 |
| 46.00 | 66 |
| 60.02 | 26 |
| 14.36 | 25 |
| 34.96 | 25 |
| 57.60 | 24 |
| 18.72 | 22 |
| 28.95 | 20 |
| 50.60 | 19 |

=====

Diffraction record for Li4Sc3TaS8. The PXRD pattern is theoretical, not measured: it uses a DFT-relaxed cell (PBE, Alexandria) and Cu Ka.

```
data_Li4Sc3TaS8
_chemical_formula_sum 'Li12 Sc9 Ta3 S24'
_cell_length_a 7.2489
_cell_length_b 7.2489
_cell_length_c 18.3908
_cell_angle_alpha 90.00
_cell_angle_beta 90.00
_cell_angle_gamma 120.00
_symmetry_space_group_name_H-M 'R -3 m'
_symmetry_Int_Tables_number 166
_symmetry_space_group_name_Hall '-R 3 2"'
loop_
_atom_site_label
_atom_site_type_symbol
_atom_site_fract_x
_atom_site_fract_y
_atom_site_fract_z
Li1 Li 0.0000 0.0000 0.0000
Li2 Li 0.0000 0.5000 0.0000
Sc1 Sc 0.0000 0.5000 0.5000
Ta1 Ta 0.0000 0.0000 0.5000
S1 S 0.0000 0.0000 0.2482
S2 S 0.0085 0.5042 0.2474
```

Main lines, in order of falling intensity (5° ≤ 2θ ≤ 70°):
| 2theta | I/Imax |
| --- | --- |
| 34.60 | 100 |
| 14.45 | 75 |
| 14.91 | 41 |
| 28.86 | 38 |
| 49.12 | 34 |
| 50.35 | 32 |
| 17.10 | 27 |
| 37.67 | 16 |
| 62.54 | 16 |
| 28.61 | 16 |

=====

Diffraction record for NaTlAs. The PXRD pattern is theoretical, not measured: it uses a DFT-relaxed cell (PBE, Alexandria) and Cu Ka.

```
data_NaTlAs
_chemical_formula_sum 'Na4 Tl4 As4'
_cell_length_a 7.532
_cell_length_b 5.720
_cell_length_c 8.283
_cell_angle_alpha 90.00
_cell_angle_beta 94.06
_cell_angle_gamma 90.00
_symmetry_space_group_name_H-M 'P 1 21/c 1'
_symmetry_Int_Tables_number 14
_symmetry_space_group_name_Hall '-P 2ybc'
loop_
_atom_site_label
_atom_site_type_symbol
_atom_site_fract_x
_atom_site_fract_y
_atom_site_fract_z
Na1 Na 0.140 0.063 0.197
Tl1 Tl 0.451 0.711 0.085
As1 As 0.257 0.532 0.339
```

Main lines, in order of falling intensity (5° ≤ 2θ ≤ 70°):
| 2theta | I/Imax |
| --- | --- |
| 11.78 | 100 |
| 28.55 | 31 |
| 26.62 | 22 |
| 34.85 | 20 |
| 33.52 | 17 |
| 39.61 | 17 |
| 29.83 | 15 |
| 22.71 | 14 |
| 28.42 | 13 |
| 43.87 | 12 |

=====

Diffraction record for K4Be3O5. The PXRD pattern is theoretical, not measured: it uses a DFT-relaxed cell (PBE, Alexandria) and Cu Ka.

```
data_K4Be3O5
_chemical_formula_sum 'K16 Be12 O20'
_cell_length_a 10.485
_cell_length_b 7.268
_cell_length_c 10.920
_cell_angle_alpha 90.00
_cell_angle_beta 118.28
_cell_angle_gamma 90.00
_symmetry_space_group_name_H-M 'C 1 2/c 1'
_symmetry_Int_Tables_number 15
_symmetry_space_group_name_Hall '-C 2yc'
loop_
_atom_site_label
_atom_site_type_symbol
_atom_site_fract_x
_atom_site_fract_y
_atom_site_fract_z
K1 K 0.168 0.109 0.095
K2 K 0.170 0.417 0.576
Be1 Be 0.000 0.191 0.750
Be2 Be 0.000 0.230 0.250
Be3 Be 0.000 0.481 0.750
O1 O 0.000 0.020 0.250
O2 O 0.051 0.325 0.878
O3 O 0.126 0.360 0.268
```

Main lines, in order of falling intensity (5° ≤ 2θ ≤ 70°):
| 2theta | I/Imax |
| --- | --- |
| 37.41 | 100 |
| 29.92 | 74 |
| 34.21 | 63 |
| 32.85 | 60 |
| 32.64 | 54 |
| 43.55 | 31 |
| 26.22 | 30 |
| 51.75 | 23 |
| 43.66 | 21 |
| 35.31 | 19 |

=====

Diffraction record for BaSiSn2. The PXRD pattern is theoretical, not measured: it uses a DFT-relaxed cell (PBE, Alexandria) and Cu Ka.

```
data_BaSiSn2
_chemical_formula_sum 'Ba3 Si3 Sn6'
_cell_length_a 4.8535
_cell_length_b 4.8535
_cell_length_c 18.1379
_cell_angle_alpha 90.00
_cell_angle_beta 90.00
_cell_angle_gamma 120.00
_symmetry_space_group_name_H-M 'R -3 m'
_symmetry_Int_Tables_number 166
_symmetry_space_group_name_Hall '-R 3 2"'
loop_
_atom_site_label
_atom_site_type_symbol
_atom_site_fract_x
_atom_site_fract_y
_atom_site_fract_z
Ba1 Ba 0.0000 0.0000 0.0000
Si1 Si 0.0000 0.0000 0.5000
Sn1 Sn 0.0000 0.0000 0.2105
```

Main lines, in order of falling intensity (5° ≤ 2θ ≤ 70°):
| 2theta | I/Imax |
| --- | --- |
| 28.97 | 100 |
| 37.04 | 98 |
| 32.61 | 94 |
| 21.70 | 61 |
| 50.17 | 29 |
| 63.98 | 28 |
| 59.64 | 27 |
| 47.70 | 25 |
| 55.15 | 24 |
| 61.89 | 23 |

=====

Diffraction record for LiSiAg2Te4. The PXRD pattern is theoretical, not measured: it uses a DFT-relaxed cell (PBE, Alexandria) and Cu Ka.

```
data_LiSiAg2Te4
_chemical_formula_sum 'Li4 Si4 Ag8 Te16'
_cell_length_a 8.905
_cell_length_b 8.914
_cell_length_c 12.507
_cell_angle_alpha 90.00
_cell_angle_beta 90.00
_cell_angle_gamma 90.00
_symmetry_space_group_name_H-M 'F m m 2'
_symmetry_Int_Tables_number 42
_symmetry_space_group_name_Hall 'F 2 -2'
loop_
_atom_site_label
_atom_site_type_symbol
_atom_site_fract_x
_atom_site_fract_y
_atom_site_fract_z
Li1 Li 0.000 0.000 0.000
Si1 Si 0.000 0.000 0.500
Ag1 Ag 0.250 0.250 0.250
Te1 Te 0.000 0.234 0.383
Te2 Te 0.234 0.000 0.617
```

Main lines, in order of falling intensity (5° ≤ 2θ ≤ 70°):
| 2theta | I/Imax |
| --- | --- |
| 24.54 | 100 |
| 40.66 | 46 |
| 47.92 | 30 |
| 40.50 | 23 |
| 48.20 | 15 |
| 64.73 | 11 |
| 31.81 | 10 |
| 19.93 | 9 |
| 58.61 | 7 |
| 35.06 | 6 |

=====

Diffraction record for Ti4MoPt. The PXRD pattern is theoretical, not measured: it uses a DFT-relaxed cell (PBE, Alexandria) and Cu Ka.

```
data_Ti4MoPt
_chemical_formula_sum 'Ti12 Mo3 Pt3'
_cell_length_a 4.3625
_cell_length_b 4.3625
_cell_length_c 20.7562
_cell_angle_alpha 90.00
_cell_angle_beta 90.00
_cell_angle_gamma 120.00
_symmetry_space_group_name_H-M 'R -3 m'
_symmetry_Int_Tables_number 166
_symmetry_space_group_name_Hall '-R 3 2"'
loop_
_atom_site_label
_atom_site_type_symbol
_atom_site_fract_x
_atom_site_fract_y
_atom_site_fract_z
Ti1 Ti 0.0000 0.0000 0.1234
Ti2 Ti 0.0000 0.0000 0.3730
Mo1 Mo 0.0000 0.0000 0.0000
Pt1 Pt 0.0000 0.0000 0.5000
```

Main lines, in order of falling intensity (5° ≤ 2θ ≤ 70°):
| 2theta | I/Imax |
| --- | --- |
| 25.08 | 100 |
| 41.39 | 72 |
| 42.26 | 67 |
| 49.39 | 32 |
| 25.75 | 32 |
| 60.64 | 22 |
| 49.01 | 16 |
| 50.15 | 15 |
| 66.04 | 13 |
| 12.79 | 13 |

=====

Diffraction record for FeHgSb2. The PXRD pattern is theoretical, not measured: it uses a DFT-relaxed cell (PBE, Alexandria) and Cu Ka.

```
data_FeHgSb2
_chemical_formula_sum 'Fe1 Hg1 Sb2'
_cell_length_a 3.184
_cell_length_b 3.179
_cell_length_c 9.148
_cell_angle_alpha 90.00
_cell_angle_beta 90.16
_cell_angle_gamma 90.00
_symmetry_space_group_name_H-M 'P 1 2/m 1'
_symmetry_Int_Tables_number 10
_symmetry_space_group_name_Hall '-P 2y'
loop_
_atom_site_label
_atom_site_type_symbol
_atom_site_fract_x
_atom_site_fract_y
_atom_site_fract_z
Fe1 Fe 0.000 0.000 0.000
Hg1 Hg 0.000 0.000 0.500
Sb1 Sb 0.498 0.500 0.829
```

Main lines, in order of falling intensity (5° ≤ 2θ ≤ 70°):
| 2theta | I/Imax |
| --- | --- |
| 34.34 | 100 |
| 29.73 | 61 |
| 40.08 | 53 |
| 29.29 | 36 |
| 49.04 | 22 |
| 57.98 | 18 |
| 50.36 | 16 |
| 50.46 | 16 |
| 69.19 | 13 |
| 69.10 | 13 |

=====

Diffraction record for LaHoTl2Se4. The PXRD pattern is theoretical, not measured: it uses a DFT-relaxed cell (PBE, Alexandria) and Cu Ka.

```
data_LaHoTl2Se4
_chemical_formula_sum 'La1 Ho1 Tl2 Se4'
_cell_length_a 7.448
_cell_length_b 4.296
_cell_length_c 8.124
_cell_angle_alpha 90.00
_cell_angle_beta 107.71
_cell_angle_gamma 90.00
_symmetry_space_group_name_H-M 'P 1 2/m 1'
_symmetry_Int_Tables_number 10
_symmetry_space_group_name_Hall '-P 2y'
loop_
_atom_site_label
_atom_site_type_symbol
_atom_site_fract_x
_atom_site_fract_y
_atom_site_fract_z
La1 La 0.000 0.000 0.000
Ho1 Ho 0.500 0.500 0.000
Tl1 Tl 0.000 0.500 0.500
Tl2 Tl 0.500 0.000 0.500
Se1 Se 0.249 0.500 0.209
Se2 Se 0.276 0.000 0.795
```

Main lines, in order of falling intensity (5° ≤ 2θ ≤ 70°):
| 2theta | I/Imax |
| --- | --- |
| 28.49 | 100 |
| 39.37 | 37 |
| 42.05 | 36 |
| 25.12 | 20 |
| 51.57 | 19 |
| 68.64 | 16 |
| 64.84 | 14 |
| 58.96 | 11 |
| 22.98 | 10 |
| 48.45 | 9 |

=====

Diffraction record for RbBi2Pd2. The PXRD pattern is theoretical, not measured: it uses a DFT-relaxed cell (PBE, Alexandria) and Cu Ka.

```
data_RbBi2Pd2
_chemical_formula_sum 'Rb2 Bi4 Pd4'
_cell_length_a 6.516
_cell_length_b 6.881
_cell_length_c 8.019
_cell_angle_alpha 79.02
_cell_angle_beta 66.20
_cell_angle_gamma 61.83
_symmetry_space_group_name_H-M 'P -1'
_symmetry_Int_Tables_number 2
_symmetry_space_group_name_Hall '-P 1'
loop_
_atom_site_label
_atom_site_type_symbol
_atom_site_fract_x
_atom_site_fract_y
_atom_site_fract_z
Rb1 Rb 0.125 0.249 0.250
Bi1 Bi 0.181 0.138 0.750
Bi2 Bi 0.433 0.635 0.250
Pd1 Pd 0.274 0.752 0.947
Pd2 Pd 0.474 0.752 0.553
```

Main lines, in order of falling intensity (5° ≤ 2θ ≤ 70°):
| 2theta | I/Imax |
| --- | --- |
| 30.01 | 100 |
| 16.58 | 70 |
| 31.83 | 69 |
| 40.42 | 61 |
| 39.76 | 36 |
| 40.13 | 35 |
| 26.65 | 30 |
| 24.26 | 28 |
| 39.88 | 23 |
| 29.45 | 21 |

=====

Diffraction record for TaBe8Co3. The PXRD pattern is theoretical, not measured: it uses a DFT-relaxed cell (PBE, Alexandria) and Cu Ka.

```
data_TaBe8Co3
_chemical_formula_sum 'Ta1 Be8 Co3'
_cell_length_a 4.2553
_cell_length_b 4.2553
_cell_length_c 6.9688
_cell_angle_alpha 90.00
_cell_angle_beta 90.00
_cell_angle_gamma 120.00
_symmetry_space_group_name_H-M 'P 3 m 1'
_symmetry_Int_Tables_number 156
_symmetry_space_group_name_Hall 'P 3 -2"'
loop_
_atom_site_label
_atom_site_type_symbol
_atom_site_fract_x
_atom_site_fract_y
_atom_site_fract_z
Ta1 Ta 0.0000 0.0000 0.0000
Be1 Be 0.1635 0.3270 0.6741
Be2 Be 0.3333 0.6667 0.4435
Be3 Be 0.3333 0.6667 0.9335
Be4 Be 0.5035 0.0069 0.2079
Co1 Co 0.0000 0.0000 0.3658
Co2 Co 0.6667 0.3333 0.5016
Co3 Co 0.6667 0.3333 0.8901
```

Main lines, in order of falling intensity (5° ≤ 2θ ≤ 70°):
| 2theta | I/Imax |
| --- | --- |
| 24.15 | 100 |
| 27.38 | 95 |
| 46.20 | 90 |
| 42.49 | 81 |
| 50.24 | 65 |
| 12.70 | 52 |
| 35.45 | 49 |
| 25.56 | 49 |
| 64.56 | 25 |
| 51.29 | 24 |